Entry 1:
Calculated powder diffractogram of Li2Mn3NbO8 for Cu Ka, from a cell relaxed with PBE+U.
No peak broadening, texture or thermal motion is included.

Main lines, low angle first (15 to 90 degrees two-theta):
| 2theta | intensity |
| --- | --- |
| 18.0 | 100 |
| 34.0 | 22 |
| 34.6 | 29 |
| 41.9 | 56 |
| 60.0 | 17 |
| 61.5 | 17 |

Crystal structure
Unit cell a=6.172 b=6.172 c=6.172 alpha=58.47 beta=58.47 gamma=58.47
Sites, in units of the cell vectors:
Li 0.126 0.126 0.126
Li 0.874 0.874 0.874
Mn 0.000 0.500 0.500
Mn 0.500 0.000 0.500
Mn 0.500 0.500 0.000
Nb 0.500 0.500 0.500
O 0.266 0.266 0.725
O 0.266 0.725 0.266
O 0.274 0.274 0.274
O 0.275 0.734 0.734
O 0.725 0.266 0.266
O 0.726 0.726 0.726
O 0.734 0.275 0.734
O 0.734 0.734 0.275

=====

Entry 2:
Calculated powder diffractogram of Rb2MoAs2O9 for Cu Ka, from a cell relaxed with PBE+U.
No peak broadening, texture or thermal motion is included.

Main lines, low angle first (15 to 90 degrees two-theta):
| 2theta | intensity |
| --- | --- |
| 24.3 | 100 |
| 25.6 | 53 |
| 26.3 | 72 |
| 27.2 | 67 |
| 28.0 | 58 |
| 29.6 | 51 |

Crystal structure
Unit cell a=7.666 b=7.794 c=9.233 alpha=70.17 beta=77.63 gamma=87.99
Sites, in units of the cell vectors:
Rb 0.084 0.247 0.135
Rb 0.190 0.331 0.619
Rb 0.810 0.669 0.381
Rb 0.916 0.753 0.865
Mo 0.426 0.737 0.755
Mo 0.574 0.263 0.245
As 0.317 0.848 0.402
As 0.328 0.664 0.142
As 0.672 0.336 0.858
As 0.683 0.152 0.598
O 0.113 0.749 0.475
O 0.119 0.719 0.124
O 0.269 0.552 0.835
O 0.287 0.922 0.733
O 0.331 0.081 0.339
O 0.345 0.440 0.255
O 0.431 0.797 0.229
O 0.461 0.747 0.527
O 0.483 0.722 0.963
O 0.517 0.278 0.037
O 0.539 0.253 0.473
O 0.569 0.203 0.771
O 0.655 0.560 0.745
O 0.669 0.919 0.661
O 0.713 0.078 0.267
O 0.731 0.448 0.165
O 0.881 0.281 0.876
O 0.887 0.251 0.525

=====

Entry 3:
Calculated powder diffractogram of Zn2NiSbO6 for Cu Ka, from a cell relaxed with PBE+U.
No peak broadening, texture or thermal motion is included.

Main lines, low angle first (15 to 90 degrees two-theta):
| 2theta | intensity |
| --- | --- |
| 33.2 | 80 |
| 33.9 | 35 |
| 34.1 | 100 |
| 47.8 | 19 |
| 59.6 | 19 |
| 59.9 | 32 |

Crystal structure
Unit cell a=5.265 b=7.617 c=5.296 alpha=90.00 beta=92.96 gamma=90.00
Sites, in units of the cell vectors:
Zn 0.021 0.250 0.032
Zn 0.442 0.750 0.480
Zn 0.558 0.250 0.520
Zn 0.979 0.750 0.968
Ni 0.000 0.000 0.500
Ni 0.000 0.500 0.500
Sb 0.500 0.000 0.000
Sb 0.500 0.500 0.000
O 0.085 0.750 0.610
O 0.188 0.569 0.163
O 0.188 0.931 0.163
O 0.323 0.065 0.671
O 0.323 0.435 0.671
O 0.413 0.250 0.131
O 0.587 0.750 0.869
O 0.677 0.565 0.329
O 0.677 0.935 0.329
O 0.812 0.069 0.837
O 0.812 0.431 0.837
O 0.915 0.250 0.390